Entry 1:
This entry pairs a crystal structure of CsTc2O4 with its simulated powder XRD pattern. Radiation: Cu Ka. Structure: a structure optimized by DFT (PBE).
Peak positions follow from Bragg's law for the DFT cell and can differ from measured ones.

Structure:
```
CsTc2O4
1.0
0.000 4.722 4.722
4.722 0.000 4.722
4.722 4.722 0.000
Cs Tc O
2 4 8
direct
0.125 0.125 0.125
0.875 0.875 0.875
0.000 0.500 0.500
0.500 0.000 0.500
0.500 0.500 0.000
0.500 0.500 0.500
0.281 0.281 0.281
0.281 0.281 0.657
0.281 0.657 0.281
0.343 0.719 0.719
0.657 0.281 0.281
0.719 0.343 0.719
0.719 0.719 0.343
0.719 0.719 0.719
```

Top 10 peaks for 10 to 90 degrees two-theta, low angle first:
| 2θ (°) | intensity |
| --- | --- |
| 26.70 | 439 |
| 31.42 | 1000 |
| 32.85 | 190 |
| 47.15 | 142 |
| 50.20 | 444 |
| 55.00 | 378 |
| 64.73 | 143 |
| 65.57 | 114 |
| 77.66 | 210 |
| 89.98 | 124 |

---

Entry 2:
This entry pairs a crystal structure of TlCu2Cl3 with its simulated powder XRD pattern. Radiation: Cu Ka. Structure: a structure optimized by DFT (PBE).
Peak positions follow from Bragg's law for the DFT cell and can differ from measured ones.

Structure:
```
TlCu2Cl3
1.0
4.559 -6.070 0.000
4.559 6.070 0.000
0.000 0.000 5.232
Tl Cu Cl
2 4 6
direct
0.198 0.802 0.750
0.802 0.198 0.250
0.311 0.311 0.000
0.311 0.311 0.500
0.689 0.689 0.000
0.689 0.689 0.500
0.081 0.350 0.750
0.350 0.081 0.250
0.394 0.606 0.250
0.606 0.394 0.750
0.650 0.919 0.750
0.919 0.650 0.250
```

Top 10 peaks for 10 to 90 degrees two-theta, low angle first:
| 2θ (°) | intensity |
| --- | --- |
| 20.90 | 1000 |
| 24.06 | 726 |
| 24.42 | 874 |
| 29.58 | 436 |
| 29.87 | 905 |
| 34.93 | 477 |
| 37.43 | 440 |
| 39.59 | 487 |
| 47.96 | 350 |
| 52.39 | 334 |

---

Entry 3:
This entry pairs a crystal structure of LiHfBPd with its simulated powder XRD pattern. Radiation: Cu Ka. Structure: a structure optimized by DFT (PBE).
Peak positions follow from Bragg's law for the DFT cell and can differ from measured ones.

Structure:
```
LiHfBPd
1.0
0.000 3.038 3.038
3.038 0.000 3.038
3.038 3.038 0.000
Li Hf B Pd
1 1 1 1
direct
0.000 0.000 0.000
0.500 0.500 0.500
0.750 0.750 0.750
0.250 0.250 0.250
```

Top 10 peaks for 10 to 90 degrees two-theta, low angle first:
| 2θ (°) | intensity |
| --- | --- |
| 25.39 | 1000 |
| 29.40 | 52 |
| 42.07 | 889 |
| 49.78 | 491 |
| 52.15 | 17 |
| 61.01 | 147 |
| 67.16 | 200 |
| 69.15 | 23 |
| 76.87 | 299 |
| 82.50 | 153 |

---

Entry 4:
This entry pairs a crystal structure of LuP2H4NO7 with its simulated powder XRD pattern. Radiation: Cu Ka. Structure: a structure optimized by DFT (PBE).
Peak positions follow from Bragg's law for the DFT cell and can differ from measured ones.

Structure:
```
LuP2H4NO7
1.0
7.410 0.000 0.000
0.000 10.705 0.000
-2.261 0.000 8.171
Lu P H N O
4 8 16 4 28
direct
0.229 0.096 0.260
0.229 0.404 0.760
0.771 0.596 0.240
0.771 0.904 0.740
0.136 0.098 0.825
0.136 0.402 0.325
0.449 0.143 0.692
0.449 0.357 0.192
0.551 0.643 0.808
0.551 0.857 0.308
0.864 0.598 0.675
0.864 0.902 0.175
0.095 0.725 0.107
0.095 0.775 0.607
0.159 0.584 0.063
0.159 0.916 0.563
0.168 0.703 0.936
0.168 0.797 0.436
0.326 0.695 0.129
0.326 0.805 0.629
0.674 0.195 0.371
0.674 0.305 0.871
0.832 0.203 0.564
0.832 0.297 0.064
0.841 0.084 0.437
0.841 0.416 0.937
0.905 0.225 0.393
0.905 0.275 0.893
0.189 0.678 0.057
0.189 0.822 0.557
0.811 0.178 0.443
0.811 0.322 0.943
0.022 0.503 0.216
0.022 0.997 0.716
0.071 0.229 0.757
0.071 0.271 0.257
0.138 0.088 0.002
0.138 0.412 0.502
0.325 0.113 0.522
0.325 0.387 0.022
0.351 0.077 0.821
0.351 0.423 0.321
0.357 0.586 0.772
0.357 0.914 0.272
0.461 0.217 0.233
0.461 0.283 0.733
0.539 0.717 0.267
0.539 0.783 0.767
0.643 0.086 0.728
0.643 0.414 0.228
0.649 0.577 0.679
0.649 0.923 0.179
0.675 0.613 0.978
0.675 0.887 0.478
0.862 0.588 0.498
0.862 0.912 0.998
0.929 0.729 0.743
0.929 0.771 0.243
0.978 0.003 0.284
0.978 0.497 0.784
```

Top 10 peaks for 10 to 90 degrees two-theta, low angle first:
| 2θ (°) | intensity |
| --- | --- |
| 14.91 | 1000 |
| 16.39 | 767 |
| 20.34 | 224 |
| 21.76 | 752 |
| 24.94 | 215 |
| 27.95 | 603 |
| 29.15 | 256 |
| 29.64 | 576 |
| 33.49 | 253 |
| 37.38 | 199 |

---

Entry 5:
This entry pairs a crystal structure of Y4Ni3Mo2N3 with its simulated powder XRD pattern. Radiation: Cu Ka. Structure: a structure optimized by DFT (PBE).
Peak positions follow from Bragg's law for the DFT cell and can differ from measured ones.

Structure:
```
Y4Ni3Mo2N3
1.0
5.010 -2.899 0.000
5.010 2.899 0.000
-3.491 0.000 12.893
Y Ni Mo N
8 6 4 6
direct
0.043 0.201 0.113
0.122 0.294 0.386
0.201 0.043 0.613
0.294 0.122 0.886
0.706 0.878 0.114
0.799 0.957 0.387
0.878 0.706 0.614
0.957 0.799 0.887
0.183 0.583 0.252
0.351 0.649 0.750
0.417 0.817 0.248
0.583 0.183 0.752
0.649 0.351 0.250
0.817 0.417 0.748
0.350 0.525 0.071
0.475 0.650 0.429
0.525 0.350 0.571
0.650 0.475 0.929
0.000 0.500 0.000
0.178 0.660 0.500
0.340 0.822 0.000
0.500 0.000 0.500
0.660 0.178 0.000
0.822 0.340 0.500
```

Top 10 peaks for 10 to 90 degrees two-theta, low angle first:
| 2θ (°) | intensity |
| --- | --- |
| 31.62 | 1000 |
| 31.76 | 508 |
| 37.28 | 714 |
| 37.40 | 821 |
| 37.65 | 587 |
| 41.73 | 364 |
| 41.91 | 342 |
| 42.05 | 311 |
| 42.18 | 323 |
| 54.88 | 450 |

---

Entry 6:
This entry pairs a crystal structure of Er8C with its simulated powder XRD pattern. Radiation: Cu Ka. Structure: a structure optimized by DFT (PBE).
Peak positions follow from Bragg's law for the DFT cell and can differ from measured ones.

Structure:
```
Er8C
1.0
5.417 -9.368 0.000
5.417 9.368 0.000
0.000 0.000 3.067
Er C
8 1
direct
0.157 0.313 0.000
0.157 0.843 0.000
0.313 0.157 0.000
0.333 0.667 0.000
0.667 0.333 0.000
0.687 0.843 0.000
0.843 0.157 0.000
0.843 0.687 0.000
0.000 0.000 0.500
```

Top 10 peaks for 10 to 90 degrees two-theta, low angle first:
| 2θ (°) | intensity |
| --- | --- |
| 18.93 | 983 |
| 29.12 | 483 |
| 33.10 | 1000 |
| 34.96 | 459 |
| 44.66 | 850 |
| 48.91 | 169 |
| 59.12 | 165 |
| 60.34 | 227 |
| 67.24 | 219 |
| 70.60 | 225 |